1.
# LaMgCrCuO6
Computed powder X-ray diffraction pattern, λ = 1.5418 Å (Cu Kα). Input: a crystal structure in the Materials Project, relaxed with GGA+U.
Lines closer than 0.1° are merged.

Principal peaks in the range 2θ = 5–70°, sorted by position:
- 2θ = 20.1°, I 30, (0 1 1)
- 2θ = 20.3°, I 29, (1 0 -2)
- 2θ = 33.1°, I 100, (1 1 1)
- 2θ = 33.2°, I 20, (0 2 0)
- 2θ = 33.8°, I 22, (2 0 -2)
- 2θ = 39.6°, I 17, (2 1 -1)
- 2θ = 47.0°, I 15, (0 0 4)
- 2θ = 48.1°, I 25, (2 2 -2)
- 2θ = 59.3°, I 14, (1 3 -3)
- 2θ = 60.0°, I 12, (3 1 -5)

Crystal structure
abc: 5.311 5.390 9.371
angles: 90.00 124.38 90.00
Space group Pc (No. 7)
Unique sites:
La (0.000, 0.207, 0.000)
Mg (0.522, 0.310, 0.493)
Cr (0.762, 0.255, 0.249)
Cu (0.260, 0.250, 0.751)
O (0.138, 0.224, 0.498)
O (0.427, 0.309, 0.001)
O (0.500, 0.058, 0.308)
O (0.601, 0.496, 0.814)
O (0.861, 0.042, 0.689)
O (0.972, 0.476, 0.198)

***

2.
# Li4Mn3Cr3Cu2O16
Computed powder X-ray diffraction pattern, λ = 1.5418 Å (Cu Kα). Input: a crystal structure in the Materials Project, relaxed with GGA+U.
Lines closer than 0.1° are merged.

Principal peaks in the range 2θ = 5–70°, sorted by position:
- 2θ = 18.6°, I 50, (0 0 2)
- 2θ = 19.9°, I 100, (0 1 1)
- 2θ = 25.7°, I 34, (0 1 2)
- 2θ = 33.4°, I 39, (0 1 -3)
- 2θ = 36.2°, I 60, (1 -2 2)
- 2θ = 36.9°, I 45, (0 2 -1)
- 2θ = 40.5°, I 34, (2 0 2)
- 2θ = 46.0°, I 51, (0 2 3)
- 2θ = 61.0°, I 29, (2 -2 5)
- 2θ = 64.1°, I 37, (4 -2 0)

Crystal structure
abc: 5.814 5.814 9.527
angles: 90.06 90.07 119.98
Space group P1 (No. 1)
Unique sites:
Li (0.000, 0.000, 0.000)
Li (0.002, 0.004, 0.499)
Li (0.339, 0.679, 0.400)
Li (0.674, 0.348, 0.900)
Mn (0.174, 0.840, 0.717)
Mn (0.667, 0.840, 0.717)
Mn (0.833, 0.666, 0.218)
Cr (0.173, 0.346, 0.716)
Cr (0.339, 0.173, 0.214)
Cr (0.833, 0.174, 0.215)
Cu (0.337, 0.671, 0.991)
Cu (0.668, 0.335, 0.493)
O (0.000, 0.000, 0.815)
O (0.041, 0.533, 0.837)
O (0.164, 0.844, 0.108)
O (0.166, 0.327, 0.109)
O (0.322, 0.161, 0.605)
O (0.342, 0.684, 0.610)
O (0.487, 0.974, 0.836)
O (0.492, 0.532, 0.837)
O (0.522, 0.045, 0.335)
O (0.523, 0.490, 0.336)
O (0.673, 0.347, 0.107)
O (0.681, 0.843, 0.106)
O (0.839, 0.160, 0.605)
O (0.844, 0.687, 0.608)
O (0.968, 0.491, 0.336)
O (0.999, 0.997, 0.315)

***

3.
# Li5Cr2Cu5O12
Computed powder X-ray diffraction pattern, λ = 1.5418 Å (Cu Kα). Input: a crystal structure in the Materials Project, relaxed with GGA+U.
Lines closer than 0.1° are merged.

Principal peaks in the range 2θ = 5–70°, sorted by position:
- 2θ = 9.2°, I 20, (0 0 1)
- 2θ = 18.4°, I 40, (0 0 2)
- 2θ = 20.9°, I 21, (0 2 0)
- 2θ = 21.1°, I 26, (1 1 -1)
- 2θ = 21.6°, I 41, (1 1 1)
- 2θ = 37.1°, I 53, (1 3 1)
- 2θ = 38.4°, I 78, (2 0 2)
- 2θ = 45.4°, I 100, (1 3 -3)
- 2θ = 60.8°, I 35, (3 3 -1)
- 2θ = 61.0°, I 32, (1 3 5)

Crystal structure
abc: 5.486 8.497 9.660
angles: 90.00 92.26 90.00
Space group C2 (No. 5)
Unique sites:
Li (0.000, 0.000, 0.000)
Li (0.239, 0.831, 0.244)
Li (0.243, 0.999, 0.754)
Cr (0.000, 0.168, 0.500)
Cr (0.000, 0.668, 0.000)
Cu (0.000, 0.331, 0.000)
Cu (0.000, 0.499, 0.500)
Cu (0.000, 0.837, 0.500)
Cu (0.246, 0.162, 0.249)
O (0.102, 0.007, 0.366)
O (0.110, 0.501, 0.877)
O (0.110, 0.816, 0.866)
O (0.111, 0.332, 0.371)
O (0.167, 0.667, 0.403)
O (0.176, 0.170, 0.903)

***

4.
# Li3Cr2CuO6
Computed powder X-ray diffraction pattern, λ = 1.5418 Å (Cu Kα). Input: a crystal structure in the Materials Project, relaxed with GGA+U.
Lines closer than 0.1° are merged.

Principal peaks in the range 2θ = 5–70°, sorted by position:
- 2θ = 18.5°, I 100, (2 0 -1)
- 2θ = 35.7°, I 44, (4 0 1)
- 2θ = 37.4°, I 14, (3 1 0)
- 2θ = 37.5°, I 5, (4 0 -2)
- 2θ = 43.4°, I 80, (6 0 0)
- 2θ = 47.6°, I 14, (5 1 -1)
- 2θ = 57.5°, I 11, (3 1 -3)
- 2θ = 63.0°, I 22, (0 2 0)
- 2θ = 63.2°, I 21, (7 1 -2)
- 2θ = 66.3°, I 14, (3 1 3)

Crystal structure
abc: 12.849 2.948 5.882
angles: 90.00 103.09 90.00
Space group C2/m (No. 12)
Unique sites:
Li (0.000, 0.000, 0.000)
Li (0.162, 0.500, 0.333)
Cr (0.166, 0.500, 0.829)
Cu (0.000, 0.000, 0.500)
O (0.007, 0.500, 0.739)
O (0.164, 0.000, 0.595)
O (0.171, 0.000, 0.068)

***

5.
# Li2Cr3CuO8
Computed powder X-ray diffraction pattern, λ = 1.5418 Å (Cu Kα). Input: a crystal structure in the Materials Project, relaxed with GGA+U.
Lines closer than 0.1° are merged.

Principal peaks in the range 2θ = 5–70°, sorted by position:
- 2θ = 18.3°, I 100, (0 0 3)
- 2θ = 21.4°, I 64, (0 1 2)
- 2θ = 30.3°, I 60, (1 0 4)
- 2θ = 35.6°, I 29, (0 1 5)
- 2θ = 35.8°, I 69, (1 1 3)
- 2θ = 35.9°, I 99, (0 2 1)
- 2θ = 43.5°, I 58, (0 2 4)
- 2θ = 57.3°, I 37, (0 2 7)
- 2θ = 62.9°, I 43, (2 0 8)
- 2θ = 63.5°, I 46, (2 2 0)

Crystal structure
abc: 5.8620 5.8620 14.5301
angles: 90.00 90.00 120.00
Space group R3m (No. 160, hexagonal axes)
Unique sites:
Li (0.0000, 0.0000, 0.0000)
Li (0.0000, 0.0000, 0.3760)
Cr (0.0057, 0.5029, 0.8775)
Cu (0.0000, 0.0000, 0.7552)
O (0.0000, 0.0000, 0.1362)
O (0.0000, 0.0000, 0.6179)
O (0.0267, 0.5133, 0.1377)
O (0.1792, 0.3585, 0.9452)